# MnCd4S5
Computed X-ray diffraction stick pattern, Cu Kα, 1.54184 Å. Input: a DFT-relaxed cell (PBE, Alexandria).

Principal peaks in the range 5 to 70 degrees two-theta, sorted by position:
(2 0 0), 24.79°, d = 3.592 Å, I = 65; (0 0 2), 26.42°, d = 3.373 Å, I = 46; (2 0 1), 28.15°, d = 3.170 Å, I = 100; (2 0 2), 36.54°, d = 2.459 Å, I = 30; (3 5 0), 43.65°, d = 2.074 Å, I = 52; (2 0 -3), 47.71°, d = 1.906 Å, I = 53; (4 0 0), 50.85°, d = 1.796 Å, I = 8; (3 5 2), 51.75°, d = 1.767 Å, I = 39; (2 10 1), 52.74°, d = 1.736 Å, I = 11; (2 10 2), 58.20°, d = 1.585 Å, I = 7; (4 0 3), 66.65°, d = 1.403 Å, I = 18; (5 5 0), 69.21°, d = 1.357 Å, I = 6

```
data_MnCd4S5
_chemical_formula_sum 'Mn4 Cd16 S20'
_cell_length_a 7.1805
_cell_length_b 20.7434
_cell_length_c 6.7466
_cell_angle_alpha 90.00
_cell_angle_beta 90.02
_cell_angle_gamma 90.00
_symmetry_space_group_name_H-M 'C 1 m 1'
_symmetry_Int_Tables_number 8
_symmetry_space_group_name_Hall 'C -2y'
loop_
_atom_site_label
_atom_site_type_symbol
_atom_site_fract_x
_atom_site_fract_y
_atom_site_fract_z
Mn1 Mn 0.0000 0.2014 0.0000
Cd1 Cd 0.1632 0.1019 0.4972
Cd2 Cd 0.1644 0.5000 0.4986
Cd3 Cd 0.1691 0.2981 0.4966
Cd4 Cd 0.4988 0.1040 0.0004
Cd5 Cd 0.4988 0.5000 0.0004
S1 S 0.0009 0.0000 0.6200
S2 S 0.1565 0.1052 0.1164
S3 S 0.1592 0.5000 0.1188
S4 S 0.1772 0.2945 0.1152
S5 S 0.4985 0.2995 0.6423
S6 S 0.4994 0.1014 0.6198
```